Computed XRD peak list of LaTb4Pr5 for copper Kα, from a GGA-PBE-relaxed structure.
Intensities are scaled so that the largest is 1000.

Most intense lines, 5° ≤ 2θ ≤ 70°, by angle:
d = 2.989 Å, 29.89 deg, I = 1000, (1 0 5); d = 2.789 Å, 32.10 deg, I = 6, (1 0 6); d = 2.599 Å, 34.52 deg, I = 345, (1 1 0); d = 2.569 Å, 34.93 deg, I = 162, (0 0 10); d = 1.837 Å, 49.61 deg, I = 124, (2 0 0); d = 1.827 Å, 49.92 deg, I = 236, (1 1 10); d = 1.565 Å, 59.01 deg, I = 292, (2 1 5); d = 1.552 Å, 59.56 deg, I = 134, (1 0 15); d = 1.494 Å, 62.11 deg, I = 122, (2 0 10)

Atomic structure:
abc: 3.675 3.675 25.688
angles: 90.00 90.00 90.00
Fractional coordinates of all 10 atoms:
La1 0.000 0.000 0.000
Tb1 0.000 0.000 0.203
Tb2 0.000 0.000 0.401
Tb3 0.000 0.000 0.599
Tb4 0.000 0.000 0.797
Pr1 0.500 0.500 0.104
Pr2 0.500 0.500 0.302
Pr3 0.500 0.500 0.500
Pr4 0.500 0.500 0.698
Pr5 0.500 0.500 0.896